Record 1
This entry pairs a crystal structure of Tb5Pr6Th2 with its theoretical XRD peak list. Radiation: λ = 1.5418 Å (Cu Kα). Structure: DFT lattice parameters and positions (GGA-PBE).
Kinematic intensities with the Lorentz-polarization factor, no thermal factor.

Cell and atoms:
```
Tb5Pr6Th2
1.0
11.716 0.000 0.000
0.000 21.093 0.000
0.000 0.000 3.648
Tb Pr Th
10 12 4
direct
0.000 0.000 0.000
0.068 0.291 0.000
0.183 0.583 0.000
0.317 0.083 0.000
0.432 0.791 0.000
0.500 0.500 0.000
0.568 0.209 0.000
0.683 0.917 0.000
0.817 0.417 0.000
0.932 0.709 0.000
0.071 0.144 0.500
0.084 0.438 0.500
0.181 0.875 0.000
0.319 0.375 0.000
0.416 0.938 0.500
0.429 0.644 0.500
0.571 0.356 0.500
0.584 0.062 0.500
0.681 0.625 0.000
0.819 0.125 0.000
0.916 0.562 0.500
0.929 0.856 0.500
0.187 0.732 0.500
0.313 0.232 0.500
0.687 0.768 0.500
0.813 0.268 0.500
```

Peak list (12 most intense, 2θ = 10–90°, low angle first)
2θ 28.6, rel. 238
2θ 30.1, rel. 167
2θ 30.6, rel. 502
2θ 30.8, rel. 1000
2θ 31.6, rel. 843
2θ 33.6, rel. 511
2θ 34.3, rel. 193
2θ 36.0, rel. 213
2θ 50.0, rel. 320
2θ 50.6, rel. 194
2θ 59.9, rel. 198
2θ 61.5, rel. 155

=====

Record 2
This entry pairs a crystal structure of Tb5Pr3Th2 with its theoretical XRD peak list. Radiation: λ = 1.5418 Å (Cu Kα). Structure: DFT lattice parameters and positions (GGA-PBE).
Kinematic intensities with the Lorentz-polarization factor, no thermal factor.

Cell and atoms:
```
Tb5Pr3Th2
1.0
5.439 -8.771 0.000
5.439 8.771 0.000
-5.424 0.000 7.145
Tb Pr Th
10 6 4
direct
0.031 0.969 0.750
0.135 0.365 0.752
0.280 0.720 0.250
0.365 0.135 0.252
0.467 0.533 0.250
0.533 0.467 0.750
0.635 0.865 0.748
0.720 0.280 0.750
0.865 0.635 0.248
0.969 0.031 0.250
0.021 0.267 0.037
0.223 0.777 0.750
0.267 0.021 0.537
0.733 0.979 0.463
0.777 0.223 0.250
0.979 0.733 0.963
0.243 0.485 0.477
0.485 0.243 0.977
0.515 0.757 0.023
0.757 0.515 0.523
```

Peak list (12 most intense, 2θ = 10–90°, low angle first)
2θ 20.2, rel. 173
2θ 29.0, rel. 650
2θ 31.7, rel. 1000
2θ 32.3, rel. 212
2θ 32.9, rel. 416
2θ 33.1, rel. 156
2θ 34.8, rel. 254
2θ 46.8, rel. 153
2θ 47.4, rel. 114
2θ 49.4, rel. 145
2θ 60.6, rel. 157
2θ 61.3, rel. 230

=====

Record 3
This entry pairs a crystal structure of Tb8Pr3Th with its theoretical XRD peak list. Radiation: λ = 1.5418 Å (Cu Kα). Structure: DFT lattice parameters and positions (GGA-PBE).
Kinematic intensities with the Lorentz-polarization factor, no thermal factor.

Cell and atoms:
```
Tb8Pr3Th
1.0
-4.415 4.415 5.705
4.415 -4.415 5.705
4.415 4.415 -5.705
Tb Pr Th
8 3 1
direct
0.126 0.126 0.753
0.237 0.237 0.490
0.253 0.763 0.000
0.374 0.374 0.247
0.626 0.874 0.000
0.747 0.747 0.510
0.763 0.253 0.000
0.874 0.626 0.000
0.000 0.000 0.000
0.250 0.750 0.500
0.750 0.250 0.500
0.500 0.500 0.000
```

Peak list (12 most intense, 2θ = 10–90°, low angle first)
2θ 14.2, rel. 406
2θ 23.8, rel. 629
2θ 25.5, rel. 411
2θ 28.6, rel. 801
2θ 31.4, rel. 711
2θ 32.7, rel. 637
2θ 35.8, rel. 1000
2θ 42.9, rel. 529
2θ 44.0, rel. 672
2θ 55.4, rel. 302
2θ 58.7, rel. 248
2θ 68.5, rel. 335

=====

Record 4
This entry pairs a crystal structure of Tb5Pr4Th with its theoretical XRD peak list. Radiation: λ = 1.5418 Å (Cu Kα). Structure: DFT lattice parameters and positions (GGA-PBE).
Kinematic intensities with the Lorentz-polarization factor, no thermal factor.

Cell and atoms:
```
Tb5Pr4Th
1.0
12.950 -1.822 0.000
12.950 1.822 0.000
-0.988 0.000 7.143
Tb Pr Th
5 4 1
direct
0.000 0.000 0.000
0.200 0.200 0.101
0.403 0.403 0.697
0.597 0.597 0.303
0.800 0.800 0.899
0.200 0.200 0.601
0.403 0.403 0.202
0.597 0.597 0.798
0.800 0.800 0.399
0.000 0.000 0.500
```

Peak list (12 most intense, 2θ = 10–90°, low angle first)
2θ 30.1, rel. 997
2θ 30.3, rel. 977
2θ 35.0, rel. 1000
2θ 50.1, rel. 122
2θ 50.3, rel. 474
2θ 50.6, rel. 119
2θ 59.6, rel. 288
2θ 59.7, rel. 209
2θ 60.0, rel. 210
2θ 60.1, rel. 140
2θ 62.5, rel. 126
2θ 84.4, rel. 107

=====

Record 5
This entry pairs a crystal structure of Tb3Pr2Th3 with its theoretical XRD peak list. Radiation: λ = 1.5418 Å (Cu Kα). Structure: DFT lattice parameters and positions (GGA-PBE).
Kinematic intensities with the Lorentz-polarization factor, no thermal factor.

Cell and atoms:
```
Tb3Pr2Th3
1.0
9.171 0.000 0.000
-4.586 7.943 0.000
0.000 0.000 3.662
Tb Pr Th
3 2 3
direct
0.000 0.393 0.000
0.393 0.000 0.000
0.607 0.607 0.000
0.333 0.667 0.500
0.667 0.333 0.500
0.000 0.777 0.500
0.223 0.223 0.500
0.777 0.000 0.500
```

Peak list (12 most intense, 2θ = 10–90°, low angle first)
2θ 26.8, rel. 116
2θ 29.8, rel. 1000
2θ 31.3, rel. 847
2θ 33.3, rel. 364
2θ 33.9, rel. 182
2θ 38.8, rel. 367
2θ 48.2, rel. 201
2θ 49.8, rel. 124
2θ 56.4, rel. 185
2θ 59.0, rel. 265
2θ 59.1, rel. 297
2θ 84.2, rel. 135

=====

Record 6
This entry pairs a crystal structure of Tb2Pr3Th with its theoretical XRD peak list. Radiation: λ = 1.5418 Å (Cu Kα). Structure: DFT lattice parameters and positions (GGA-PBE).
Kinematic intensities with the Lorentz-polarization factor, no thermal factor.

Cell and atoms:
```
Tb2Pr3Th
1.0
-2.577 5.156 7.727
2.577 -5.156 7.727
2.577 5.156 -7.727
Tb Pr Th
4 6 2
direct
0.084 0.334 0.750
0.253 0.003 0.250
0.747 0.997 0.750
0.916 0.666 0.250
0.000 0.500 0.500
0.172 0.168 0.004
0.337 0.832 0.504
0.500 0.500 0.000
0.663 0.168 0.496
0.828 0.832 0.996
0.419 0.669 0.750
0.581 0.331 0.250
```

Peak list (12 most intense, 2θ = 10–90°, low angle first)
2θ 10.3, rel. 27
2θ 17.2, rel. 12
2θ 24.4, rel. 11
2θ 30.0, rel. 1000
2θ 34.8, rel. 508
2θ 39.1, rel. 7
2θ 50.1, rel. 365
2θ 59.5, rel. 434
2θ 62.4, rel. 125
2θ 73.5, rel. 58
2θ 81.4, rel. 177
2θ 84.0, rel. 165

=====

Record 7
This entry pairs a crystal structure of Tb6PrTh2 with its theoretical XRD peak list. Radiation: λ = 1.5418 Å (Cu Kα). Structure: DFT lattice parameters and positions (GGA-PBE).
Kinematic intensities with the Lorentz-polarization factor, no thermal factor.

Cell and atoms:
```
Tb6PrTh2
1.0
4.897 -8.500 0.000
4.897 8.500 0.000
0.000 0.000 3.501
Tb Pr Th
6 1 2
direct
0.164 0.164 0.000
0.164 0.500 0.000
0.500 0.164 0.000
0.500 0.836 0.000
0.836 0.500 0.000
0.836 0.836 0.000
0.500 0.500 0.500
0.167 0.833 0.500
0.833 0.167 0.500
```

Peak list (12 most intense, 2θ = 10–90°, low angle first)
2θ 31.4, rel. 975
2θ 31.6, rel. 1000
2θ 45.2, rel. 362
2θ 52.3, rel. 82
2θ 56.2, rel. 382
2θ 56.3, rel. 197
2θ 62.4, rel. 291
2θ 66.1, rel. 81
2θ 74.9, rel. 109
2θ 80.4, rel. 142
2θ 85.5, rel. 60
2θ 89.0, rel. 76

=====

Record 8
This entry pairs a crystal structure of Tb2PrTh6 with its theoretical XRD peak list. Radiation: λ = 1.5418 Å (Cu Kα). Structure: DFT lattice parameters and positions (GGA-PBE).
Kinematic intensities with the Lorentz-polarization factor, no thermal factor.

Cell and atoms:
```
Tb2PrTh6
1.0
3.548 0.000 0.000
-1.774 3.073 0.000
0.000 0.000 27.153
Tb Pr Th
2 1 6
direct
0.000 0.000 0.169
0.000 0.000 0.831
0.333 0.667 0.500
0.000 0.000 0.386
0.000 0.000 0.614
0.333 0.667 0.061
0.333 0.667 0.279
0.333 0.667 0.721
0.333 0.667 0.939
```

Peak list (12 most intense, 2θ = 10–90°, low angle first)
2θ 29.1, rel. 548
2θ 29.6, rel. 629
2θ 32.0, rel. 840
2θ 33.5, rel. 1000
2θ 35.3, rel. 153
2θ 42.0, rel. 397
2θ 51.5, rel. 431
2θ 56.1, rel. 295
2θ 60.5, rel. 516
2θ 62.9, rel. 168
2θ 84.3, rel. 189
2θ 85.5, rel. 149